The following is a calculated powder diffraction line list of V4O9. It was derived from DFT lattice parameters and positions (GGA+U), using Cu Ka.
Kinematic intensities with the Lorentz-polarization factor, no thermal factor.

Structure:
```
data_V4O9
_chemical_formula_sum 'V8 O18'
_space_group_name_H-M_alt 'P 4/n'
_space_group_IT_number 85
_cell_length_a 8.5197
_cell_length_b 8.5197
_cell_length_c 4.7348
_cell_angle_alpha 90.00
_cell_angle_beta 90.00
_cell_angle_gamma 90.00
loop_
_space_group_symop_operation_xyz
'x,y,z'
'-x,-y,-z'
'-y+1/2,x,z'
'y+1/2,-x,-z'
'-x+1/2,-y+1/2,z'
'x+1/2,y+1/2,-z'
'y,-x+1/2,z'
'-y,x+1/2,-z'
loop_
_atom_site_label
_atom_site_type_symbol
_atom_site_fract_x
_atom_site_fract_y
_atom_site_fract_z
_atom_site_occupancy
V1 V 0.0346 0.8457 0.1253 1
O1 O 0.0256 0.8365 0.4646 1
O2 O 0.0370 0.3549 0.9980 1
O3 O 0.2500 0.7500 0.0000 1
```

The 12 most intense peaks (5 to 70 degrees two-theta), sorted by position:
Position (°2θ), I (rel.), index
14.70, 31, 1 1 0
18.74, 90, 0 0 1
20.85, 32, 2 0 0
21.47, 24, 1 0 1
30.11, 100, 1 2 1
33.25, 66, 3 1 0
45.09, 38, 1 2 2
47.74, 52, 2 4 0
51.72, 20, 2 4 1
57.48, 25, 5 0 1
67.76, 19, 5 0 2
68.96, 21, 3 1 3